# 1
Diffraction record for NaPtO. The X-ray powder pattern is simulated, not measured: it uses a PBE-relaxed structure and Cu Kα (λ = 1.5418 Å).

Peak list (8 most intense, 2θ = 10–80°, low angle first)
11.41°, I = 97.7; 25.09°, I = 43.0; 32.15°, I = 100.0; 42.87°, I = 40.9; 45.46°, I = 14.2; 49.16°, I = 36.1; 52.41°, I = 12.6; 56.73°, I = 18.1

Structural model:
```
NaPtO
1.0
1.4170 -7.7575 0.0000
1.4170 7.7575 0.0000
0.0000 0.0000 3.9907
Na Pt O
2 2 2
direct
0.1860 0.8140 0.7500
0.8140 0.1860 0.2500
0.0600 0.9400 0.2500
0.9400 0.0600 0.7500
0.3393 0.6607 0.7500
0.6607 0.3393 0.2500
```

# 2
Diffraction record for Tc3Se4. The X-ray powder pattern is simulated, not measured: it uses a PBE-relaxed structure and Cu Kα (λ = 1.5418 Å).

Peak list (8 most intense, 2θ = 10–80°, low angle first)
11.76°, I = 85.6; 36.48°, I = 100.0; 42.55°, I = 58.4; 44.81°, I = 69.4; 61.74°, I = 18.9; 71.86°, I = 20.4; 73.89°, I = 24.3; 79.46°, I = 25.1

Structural model:
```
Tc3Se4
1.0
-1.5024 1.5024 15.0447
1.5024 -1.5024 15.0447
1.5024 1.5024 -15.0447
Tc Se
3 4
direct
0.0000 0.0000 0.0000
0.2821 0.2821 0.0000
0.7179 0.7179 0.0000
0.1704 0.1704 0.0000
0.4478 0.4478 0.0000
0.5522 0.5522 0.0000
0.8296 0.8296 0.0000
```

# 3
Diffraction record for NaY2MnSe4. The X-ray powder pattern is simulated, not measured: it uses a PBE-relaxed structure and Cu Kα (λ = 1.5418 Å).

Peak list (8 most intense, 2θ = 10–80°, low angle first)
17.29°, I = 9.4; 28.04°, I = 3.2; 31.19°, I = 100.0; 42.43°, I = 3.0; 44.69°, I = 71.9; 55.50°, I = 24.7; 65.04°, I = 11.3; 73.89°, I = 30.7

Structural model:
```
NaY2MnSe4
1.0
-2.8675 2.8675 5.7378
2.8675 -2.8675 5.7378
2.8675 2.8675 -5.7378
Na Y Mn Se
1 2 1 4
direct
0.0000 0.0000 0.0000
0.5000 0.5000 0.0000
0.7500 0.2500 0.5000
0.2500 0.7500 0.5000
0.0049 0.5049 0.5000
0.2516 0.2516 0.0000
0.4951 0.9951 0.5000
0.7484 0.7484 0.0000
```

# 4
Diffraction record for Nd2Cd9Ag6. The X-ray powder pattern is simulated, not measured: it uses a PBE-relaxed structure and Cu Kα (λ = 1.5418 Å).

Peak list (8 most intense, 2θ = 10–80°, low angle first)
17.66°, I = 28.2; 35.75°, I = 30.0; 36.27°, I = 100.0; 37.78°, I = 32.2; 40.61°, I = 52.3; 58.43°, I = 23.5; 64.24°, I = 20.9; 77.00°, I = 22.4

Structural model:
```
Nd2Cd9Ag6
1.0
5.7997 0.0000 0.0000
-2.8998 5.0227 0.0000
0.0000 0.0000 14.2887
Nd Cd Ag
2 9 6
direct
0.0000 0.0000 0.1458
0.0000 0.0000 0.8542
0.0000 0.5000 0.0000
0.0000 0.5000 0.3348
0.0000 0.5000 0.6652
0.5000 0.0000 0.0000
0.5000 0.0000 0.3348
0.5000 0.0000 0.6652
0.5000 0.5000 0.0000
0.5000 0.5000 0.3348
0.5000 0.5000 0.6652
0.3333 0.6667 0.1690
0.3333 0.6667 0.5000
0.3333 0.6667 0.8310
0.6667 0.3333 0.1690
0.6667 0.3333 0.5000
0.6667 0.3333 0.8310
```